Structure and calculated powder diffraction line list of LiVRuO6 (DFT lattice parameters and positions (PBE+U); a wavelength of 1.5418 Å).
No peak broadening, texture or thermal motion is included.

Structure:
abc: 5.0359 5.0359 9.2404
angles: 90.00 90.00 120.00
Space group P-31c (No. 163)
One atom of each set of equivalent atoms:
Li: 0.0000 0.0000 0.0000 x2
V: 0.3333 0.6667 0.2500 x2
Ru: 0.3333 0.6667 0.7500 x2
O: 0.0056 0.3667 0.1370 x12

The 8 most intense peaks (10° ≤ 2θ ≤ 80°), in order of rising 2θ:
19.21°, d 4.620, I 100.0, (0 0 2); 20.36°, d 4.361, I 65.8, (1 0 0); 22.54°, d 3.944, I 27.8, (1 0 1); 28.14°, d 3.171, I 59.4, (1 0 2); 35.66°, d 2.517, I 36.9, (1 1 0); 40.81°, d 2.211, I 79.0, (1 1 2); 53.86°, d 1.702, I 54.8, (1 1 4); 64.07°, d 1.453, I 27.8, (3 0 0)